Structure and calculated powder X-ray diffraction pattern of Ce2RuI2 (a structure optimized by DFT (GGA-PBE); Cu Kα (weighted mean of Kα1 and Kα2)).

Structure:
a b c (Å): 4.1238 4.1238 12.1620
angles (deg): 100.77 100.77 60.02
Atoms (fractional coordinates):
Ce 0.2145 0.2145 0.1290
Ce 0.7855 0.7855 0.8710
Ru 0.5000 0.5000 0.0000
I 0.0501 0.0501 0.6836
I 0.9499 0.9499 0.3164

Largest 6 diffraction maxima, by angle, 2θ = 10–80°:
2θ/deg  I (rel.)
25.06  28
26.99  32
30.28  55
30.73  100
43.45  30
43.91  62